Computed PXRD pattern
Compound: Rb3Mg2SnI9
Radiation: CuKα
Structure: a crystal structure in Alexandria, relaxed with GGA-PBE
Kinematic intensities with the Lorentz-polarization factor, no thermal factor.

Crystal structure
```
Rb3Mg2SnI9
1.0
8.478 0.000 0.000
-4.239 7.342 0.000
0.000 0.000 10.424
Rb Mg Sn I
3 2 1 9
Direct
0.000 0.000 0.000
0.333 0.667 0.673
0.667 0.333 0.327
0.333 0.667 0.158
0.667 0.333 0.842
0.000 0.000 0.500
0.000 0.500 0.000
0.172 0.344 0.324
0.172 0.828 0.324
0.344 0.172 0.676
0.500 0.000 0.000
0.500 0.500 0.000
0.656 0.828 0.324
0.828 0.172 0.676
0.828 0.656 0.676
```

Largest 12 diffraction maxima, by intensity, 5° ≤ 2θ ≤ 70°:
hkl	d [Å]	2theta	I (rel.)
0 2 1	3.465	25.71	100.0
2 0 2	3.001	29.77	84.8
4 0 1	1.809	50.45	33.4
2 2 0	2.119	42.66	30.9
0 2 4	2.125	42.54	30.5
1 0 1	6.002	14.76	16.7
0 4 2	1.731	52.89	16.4
2 0 5	1.813	50.33	11.0
4 0 4	1.501	61.83	9.8
2 1 1	2.684	33.38	9.3
2 4 1	1.375	68.19	8.9
0 0 6	1.737	52.69	5.2